SrNb4O6: theoretical PXRD pattern (λ = 1.5418 Å (Cu Kα)), based on a PBE-relaxed structure.
Lines closer than 0.1° are merged.

Largest 8 diffraction maxima, by intensity, 5 to 70 degrees two-theta:
2theta	I (rel.)	h k l
30.36	100	1 0 4
42.90	78	2 0 0
5.37	61	0 0 1
30.47	47	1 1 1
63.16	44	2 0 8
53.46	39	2 1 4
34.23	39	1 1 3
44.04	35	0 0 8

Crystal structure
```
data_SrNb4O6
_chemical_formula_sum 'Sr2 Nb8 O12'
_space_group_name_H-M_alt 'P 4/m m m'
_space_group_IT_number 123
_space_group_name_Hall '-P 4 2'
_cell_length_a 4.216
_cell_length_b 4.216
_cell_length_c 16.451
_cell_angle_alpha 90.00
_cell_angle_beta 90.00
_cell_angle_gamma 90.00
loop_
_atom_site_label
_atom_site_fract_x
_atom_site_fract_y
_atom_site_fract_z
Sr1 0.000 0.000 0.124
Nb1 0.000 0.500 0.369
Nb2 0.500 0.500 0.000
Nb3 0.500 0.500 0.248
Nb4 0.500 0.500 0.500
O1 0.000 0.000 0.373
O2 0.000 0.500 0.000
O3 0.000 0.500 0.239
O4 0.000 0.500 0.500
O5 0.500 0.500 0.120
```

***

SrNb8O14: theoretical PXRD pattern (λ = 1.5418 Å (Cu Kα)), based on a PBE-relaxed structure.
Lines closer than 0.1° are merged.

Largest 8 diffraction maxima, by intensity, 5 to 70 degrees two-theta:
2theta	I (rel.)	h k l
45.34	100	3 4 0
25.56	94	2 1 1
31.27	71	1 3 1
35.80	65	1 4 0
32.40	50	1 1 2
12.71	50	1 1 0
52.53	45	4 2 2
61.77	44	0 6 2

Crystal structure
```
data_SrNb8O14
_chemical_formula_sum 'Sr2 Nb16 O28'
_space_group_name_H-M_alt 'P b a m'
_space_group_IT_number 55
_space_group_name_Hall '-P 2 2ab'
_cell_length_a 9.376
_cell_length_b 10.397
_cell_length_c 6.022
_cell_angle_alpha 90.00
_cell_angle_beta 90.00
_cell_angle_gamma 90.00
loop_
_atom_site_label
_atom_site_fract_x
_atom_site_fract_y
_atom_site_fract_z
Sr1 0.000 0.000 0.000
Nb1 0.116 0.164 0.500
Nb2 0.120 0.665 0.000
Nb3 0.125 0.423 0.232
O1 0.000 0.000 0.500
O2 0.000 0.500 0.500
O3 0.005 0.247 0.246
O4 0.234 0.321 0.500
O5 0.237 0.849 0.000
O6 0.240 0.086 0.246
```